Li2CrFeO4: calculated powder diffraction line list (a wavelength of 1.5418 Å), based on a cell relaxed with GGA+U.
Peak positions follow from Bragg's law for the DFT cell and can differ from measured ones.

```
24
Lattice="4.963 -4.449 0.000 4.963 4.449 0.000 -0.887 0.000 5.060" Properties=species:S:1:pos:R:3 pbc="T T T"
Li 1.821 1.471 3.796
Li 2.264 0.000 1.254
Li 1.820 -1.498 3.798
Li 7.218 1.471 1.264
Li 6.775 0.000 3.806
Li 7.219 -1.498 1.263
Cr 4.519 1.470 2.530
Cr 4.963 -0.009 0.000
Cr 4.963 -2.969 0.000
Fe 4.519 4.436 2.530
Fe 4.963 2.958 0.000
Fe 4.519 -1.493 2.530
O 3.270 2.944 3.170
O 0.361 0.005 4.417
O 3.723 1.465 0.658
O 5.768 2.944 1.890
O 3.279 -0.004 3.189
O 5.316 1.465 4.403
O 3.722 -1.489 0.642
O 5.760 -0.004 1.871
O 3.270 -2.974 3.192
O 5.317 -1.489 4.418
O 8.678 0.005 0.643
O 5.769 -2.974 1.869
```

Most intense lines, 5 to 70 degrees two-theta, in order of rising 2θ:
d [Å], I_rel
4.888, 100
2.530, 42
2.104, 81
1.932, 14
1.623, 14
1.492, 22
1.483, 22
1.419, 14